[1]
Structure and theoretical powder diffractogram of Pa6VS12 (a PBE-relaxed structure; a wavelength of 1.5418 Å).
Neutral-atom scattering factors, no anomalous dispersion.

Principal peaks in the range 2θ from 10° to 90°, in order of rising 2θ:
d_spacing	2θ (°)	I (rel.)
5.925	14.95	21
3.655	24.36	100
3.165	28.20	26
3.107	28.73	12
2.755	32.50	16
2.525	35.55	9
2.238	40.30	47
1.973	46.00	12
1.909	47.65	36
1.828	49.90	10

Atomic structure:
abc: 7.754 7.754 7.754
angles: 99.66 99.66 99.66
Element x y z (fractional)
Pa1 0.131 0.296 0.629
Pa2 0.296 0.629 0.131
Pa3 0.371 0.869 0.704
Pa4 0.629 0.131 0.296
Pa5 0.704 0.371 0.869
Pa6 0.869 0.704 0.371
V1 0.000 0.000 0.000
S1 0.032 0.935 0.687
S2 0.065 0.313 0.968
S3 0.179 0.572 0.431
S4 0.313 0.968 0.065
S5 0.428 0.569 0.821
S6 0.431 0.179 0.572
S7 0.569 0.821 0.428
S8 0.572 0.431 0.179
S9 0.687 0.032 0.935
S10 0.821 0.428 0.569
S11 0.935 0.687 0.032
S12 0.968 0.065 0.313

[2]
Structure and theoretical powder diffractogram of Y2Pa3S8 (a PBE-relaxed structure; a wavelength of 1.5418 Å).
Neutral-atom scattering factors, no anomalous dispersion.

Principal peaks in the range 2θ from 10° to 90°, in order of rising 2θ:
d_spacing	2θ (°)	I (rel.)
7.646	11.57	20
6.621	13.37	69
4.041	21.99	22
3.865	23.01	26
3.823	23.27	24
3.338	26.70	36
2.981	29.98	37
2.380	37.79	28
2.351	38.29	100
2.341	38.45	25

Atomic structure:
abc: 8.109 8.109 4.761
angles: 90.00 90.00 109.46
Element x y z (fractional)
Y1 0.229 0.771 0.000
Y2 0.771 0.229 0.000
Pa1 0.234 0.234 0.500
Pa2 0.500 0.500 0.000
Pa3 0.766 0.766 0.500
S1 0.126 0.874 0.500
S2 0.139 0.381 0.000
S3 0.381 0.139 0.000
S4 0.385 0.615 0.500
S5 0.615 0.385 0.500
S6 0.619 0.861 0.000
S7 0.861 0.619 0.000
S8 0.874 0.126 0.500

[3]
Structure and theoretical powder diffractogram of YPaS6 (a PBE-relaxed structure; a wavelength of 1.5418 Å).
Neutral-atom scattering factors, no anomalous dispersion.

Principal peaks in the range 2θ from 10° to 90°, in order of rising 2θ:
d_spacing	2θ (°)	I (rel.)
6.105	14.51	22
5.287	16.77	100
3.739	23.80	35
3.188	27.98	13
2.644	33.91	31
2.365	38.06	50
2.159	41.85	17
1.869	48.71	21
1.762	51.88	25
1.282	73.91	14

Atomic structure:
abc: 7.478 7.478 7.478
angles: 60.00 60.00 60.00
Element x y z (fractional)
Y1 0.000 0.000 0.000
Pa1 0.500 0.500 0.500
S1 0.255 0.255 0.745
S2 0.255 0.745 0.255
S3 0.255 0.745 0.745
S4 0.745 0.255 0.255
S5 0.745 0.255 0.745
S6 0.745 0.745 0.255

[4]
Structure and theoretical powder diffractogram of Y2PaS5 (a PBE-relaxed structure; a wavelength of 1.5418 Å).
Neutral-atom scattering factors, no anomalous dispersion.

Principal peaks in the range 2θ from 10° to 90°, in order of rising 2θ:
d_spacing	2θ (°)	I (rel.)
6.268	14.13	63
3.693	24.10	42
3.482	25.58	100
3.345	26.65	99
3.289	27.11	84
2.456	36.59	84
2.371	37.96	47
2.185	41.32	40
1.976	45.92	46
1.960	46.33	55

Atomic structure:
abc: 11.847 7.909 7.386
angles: 90.00 90.00 90.00
Element x y z (fractional)
Y1 0.180 0.002 0.017
Y2 0.180 0.498 0.017
Y3 0.320 0.502 0.517
Y4 0.320 0.998 0.517
Y5 0.680 0.002 0.483
Y6 0.680 0.498 0.483
Y7 0.820 0.502 0.983
Y8 0.820 0.998 0.983
Pa1 0.007 0.750 0.575
Pa2 0.493 0.250 0.075
Pa3 0.507 0.750 0.925
Pa4 0.993 0.250 0.425
S1 0.001 0.250 0.042
S2 0.102 0.044 0.662
S3 0.102 0.456 0.662
S4 0.183 0.750 0.324
S5 0.216 0.250 0.299
S6 0.284 0.750 0.799
S7 0.317 0.250 0.824
S8 0.398 0.544 0.162
S9 0.398 0.956 0.162
S10 0.499 0.750 0.542
S11 0.501 0.250 0.458
S12 0.602 0.044 0.838
S13 0.602 0.456 0.838
S14 0.683 0.750 0.176
S15 0.716 0.250 0.201
S16 0.784 0.750 0.701
S17 0.817 0.250 0.676
S18 0.898 0.544 0.338
S19 0.898 0.956 0.338
S20 0.999 0.750 0.958

[5]
Structure and theoretical powder diffractogram of Zr2PaS6 (a PBE-relaxed structure; a wavelength of 1.5418 Å).
Neutral-atom scattering factors, no anomalous dispersion.

Principal peaks in the range 2θ from 10° to 90°, in order of rising 2θ:
d_spacing	2θ (°)	I (rel.)
5.444	16.28	100
3.271	27.26	29
3.225	27.66	29
2.312	38.95	50
2.297	39.22	16
2.129	42.45	15
1.889	48.17	19
1.880	48.42	15
1.463	63.62	15
1.157	83.61	12

Atomic structure:
abc: 7.550 7.550 7.550
angles: 51.36 51.36 51.36
Element x y z (fractional)
Zr1 0.176 0.176 0.176
Zr2 0.824 0.824 0.824
Pa1 0.000 0.000 0.000
S1 0.066 0.409 0.793
S2 0.207 0.934 0.591
S3 0.409 0.793 0.066
S4 0.591 0.207 0.934
S5 0.793 0.066 0.409
S6 0.934 0.591 0.207

[6]
Structure and theoretical powder diffractogram of Zr2PaS6 (a PBE-relaxed structure; a wavelength of 1.5418 Å).
Neutral-atom scattering factors, no anomalous dispersion.

Principal peaks in the range 2θ from 10° to 90°, in order of rising 2θ:
d_spacing	2θ (°)	I (rel.)
6.039	14.67	83
4.448	19.96	100
4.104	21.66	41
3.429	25.99	67
3.170	28.15	48
2.554	35.14	33
2.452	36.64	41
2.389	37.65	25
2.319	38.83	43
2.075	43.63	35

Atomic structure:
abc: 6.700 6.700 8.308
angles: 119.77 119.77 42.94
Element x y z (fractional)
Zr1 0.189 0.189 0.083
Zr2 0.811 0.811 0.917
Pa1 0.000 0.000 0.500
S1 0.035 0.035 0.213
S2 0.260 0.260 0.841
S3 0.368 0.368 0.434
S4 0.632 0.632 0.566
S5 0.740 0.740 0.159
S6 0.965 0.965 0.787

[7]
Structure and theoretical powder diffractogram of Pa4Sb3 (a PBE-relaxed structure; a wavelength of 1.5418 Å).
Neutral-atom scattering factors, no anomalous dispersion.

Principal peaks in the range 2θ from 10° to 90°, in order of rising 2θ:
d_spacing	2θ (°)	I (rel.)
3.747	23.75	19
2.902	30.81	100
2.453	36.64	82
1.873	48.60	27
1.800	50.72	27
1.489	62.37	27
1.451	64.18	14
1.416	65.96	17
1.353	69.46	8
1.249	76.23	11

Atomic structure:
abc: 7.948 7.948 7.948
angles: 109.47 109.47 109.47
Element x y z (fractional)
Pa1 0.000 0.346 0.500
Pa2 0.000 0.846 0.500
Pa3 0.154 0.154 0.154
Pa4 0.346 0.500 0.000
Pa5 0.500 0.000 0.346
Pa6 0.500 0.000 0.846
Pa7 0.654 0.654 0.654
Pa8 0.846 0.500 0.000
Sb1 0.125 0.750 0.875
Sb2 0.250 0.625 0.375
Sb3 0.375 0.250 0.625
Sb4 0.625 0.375 0.250
Sb5 0.750 0.875 0.125
Sb6 0.875 0.125 0.750

[8]
Structure and theoretical powder diffractogram of PaSb2 (a PBE-relaxed structure; a wavelength of 1.5418 Å).
Neutral-atom scattering factors, no anomalous dispersion.

Principal peaks in the range 2θ from 10° to 90°, in order of rising 2θ:
d_spacing	2θ (°)	I (rel.)
3.887	22.88	39
3.071	29.08	37
2.908	30.74	33
2.896	30.88	65
2.511	35.76	100
2.416	37.21	46
2.171	41.60	57
1.740	52.61	29
1.615	57.03	27
1.310	72.12	26

Atomic structure:
abc: 4.342 4.342 8.725
angles: 90.00 90.00 90.00
Element x y z (fractional)
Pa1 0.250 0.250 0.223
Pa2 0.750 0.750 0.777
Sb1 0.250 0.250 0.860
Sb2 0.250 0.750 0.500
Sb3 0.750 0.250 0.500
Sb4 0.750 0.750 0.140

[9]
Structure and theoretical powder diffractogram of Sc3PaSb4 (a PBE-relaxed structure; a wavelength of 1.5418 Å).
Neutral-atom scattering factors, no anomalous dispersion.

Principal peaks in the range 2θ from 10° to 90°, in order of rising 2θ:
d_spacing	2θ (°)	I (rel.)
6.881	12.87	15
3.602	24.71	16
2.985	29.94	100
2.738	32.71	11
2.117	42.71	13
2.109	42.88	61
1.726	53.06	13
1.720	53.25	13
1.334	70.58	21
1.217	78.63	12

Atomic structure:
abc: 7.301 7.301 4.234
angles: 90.00 90.00 109.52
Element x y z (fractional)
Sc1 0.000 0.000 0.000
Sc2 0.000 0.500 0.500
Sc3 0.500 0.000 0.500
Pa1 0.500 0.500 0.000
Sb1 0.238 0.238 0.500
Sb2 0.245 0.755 0.000
Sb3 0.755 0.245 0.000
Sb4 0.762 0.762 0.500

[10]
Structure and theoretical powder diffractogram of ScPaSb2 (a PBE-relaxed structure; a wavelength of 1.5418 Å).
Neutral-atom scattering factors, no anomalous dispersion.

Principal peaks in the range 2θ from 10° to 90°, in order of rising 2θ:
d_spacing	2θ (°)	I (rel.)
5.428	16.33	43
3.350	26.61	20
3.040	29.38	100
3.011	29.67	48
2.150	42.03	38
2.139	42.24	74
1.750	52.29	39
1.360	69.09	17
1.357	69.24	17
1.239	76.95	25

Atomic structure:
abc: 7.399 7.399 7.399
angles: 131.48 131.48 71.05
Element x y z (fractional)
Sc1 0.375 0.625 0.750
Sc2 0.625 0.375 0.250
Pa1 0.125 0.875 0.250
Pa2 0.875 0.125 0.750
Sb1 0.131 0.381 0.750
Sb2 0.381 0.131 0.250
Sb3 0.619 0.869 0.750
Sb4 0.869 0.619 0.250

[11]
Structure and theoretical powder diffractogram of ScPa3Sb5 (a PBE-relaxed structure; a wavelength of 1.5418 Å).
Neutral-atom scattering factors, no anomalous dispersion.

Principal peaks in the range 2θ from 10° to 90°, in order of rising 2θ:
d_spacing	2θ (°)	I (rel.)
3.720	23.92	27
3.122	28.59	28
2.728	32.83	96
2.674	33.51	89
2.589	34.65	100
2.096	43.16	43
1.860	48.97	21
1.716	53.39	24
1.473	63.10	24
1.348	69.76	21

Atomic structure:
abc: 9.265 9.265 6.244
angles: 90.00 90.00 120.00
Element x y z (fractional)
Sc1 0.000 0.000 0.000
Sc2 0.000 0.000 0.500
Pa1 0.000 0.388 0.250
Pa2 0.000 0.612 0.750
Pa3 0.388 0.000 0.250
Pa4 0.388 0.388 0.750
Pa5 0.612 0.000 0.750
Pa6 0.612 0.612 0.250
Sb1 0.000 0.269 0.750
Sb2 0.000 0.731 0.250
Sb3 0.269 0.000 0.750
Sb4 0.269 0.269 0.250
Sb5 0.333 0.667 0.000
Sb6 0.333 0.667 0.500
Sb7 0.667 0.333 0.000
Sb8 0.667 0.333 0.500
Sb9 0.731 0.000 0.250
Sb10 0.731 0.731 0.750

[12]
Structure and theoretical powder diffractogram of Sc4PaSb5 (a PBE-relaxed structure; a wavelength of 1.5418 Å).
Neutral-atom scattering factors, no anomalous dispersion.

Principal peaks in the range 2θ from 10° to 90°, in order of rising 2θ:
d_spacing	2θ (°)	I (rel.)
5.766	15.37	13
2.999	29.80	52
2.971	30.08	100
2.111	42.85	75
2.104	42.99	19
2.098	43.12	18
1.722	53.19	20
1.719	53.29	19
1.339	70.33	17
1.331	70.80	24

Atomic structure:
abc: 11.111 11.111 11.111
angles: 158.17 148.69 38.50
Element x y z (fractional)
Sc1 0.101 0.101 0.000
Sc2 0.295 0.295 0.000
Sc3 0.705 0.705 0.000
Sc4 0.899 0.899 0.000
Pa1 0.500 0.500 0.000
Sb1 0.000 0.500 0.500
Sb2 0.199 0.699 0.500
Sb3 0.394 0.894 0.500
Sb4 0.606 0.106 0.500
Sb5 0.801 0.301 0.500